This entry pairs a crystal structure of CdRe2N4O8 with its theoretical X-ray diffraction stick pattern. Radiation: copper Kα. Structure: DFT lattice parameters and positions (PBE).
Peak positions follow from Bragg's law for the DFT cell and can differ from measured ones.

Principal peaks in the range 15 to 90 degrees two-theta, by intensity:
2θ/deg, intensity
23.34, 100
41.03, 41
27.45, 26
64.73, 24
47.74, 20
53.79, 16
74.74, 12
33.25, 9
50.07, 8
43.64, 8
66.66, 7
36.33, 6

Cell and atoms:
Lattice parameters (Å, degrees): 7.621 7.621 7.621 60.00 60.00 60.00
Sites, in units of the cell vectors:
Cd (0.000, 0.000, 0.000)
Re (0.500, 0.500, 0.500)
Re (0.750, 0.750, 0.750)
N (0.124, 0.124, 0.124)
N (0.124, 0.124, 0.629)
N (0.124, 0.629, 0.124)
N (0.629, 0.124, 0.124)
O (0.032, 0.656, 0.656)
O (0.406, 0.406, 0.406)
O (0.406, 0.406, 0.783)
O (0.406, 0.783, 0.406)
O (0.656, 0.032, 0.656)
O (0.656, 0.656, 0.032)
O (0.656, 0.656, 0.656)
O (0.783, 0.406, 0.406)